Theoretical powder diffraction line list
Compound: GaSb2Pd4
Radiation: a wavelength of 1.5418 Å
Structure: a DFT-relaxed cell (GGA-PBE, Alexandria)
Neutral-atom scattering factors, no anomalous dispersion.

Principal peaks in the range 15 to 90 degrees two-theta, by angle:
Position (°2θ), d (Å), Rel. int., (hkl)
29.17, 3.062, 28, 1 1 0
29.94, 2.985, 80, 0 2 4
35.81, 2.507, 59, 1 3 0
38.25, 2.353, 100, 1 3 2
39.36, 2.289, 46, 0 4 4
39.61, 2.276, 64, 0 0 6
43.95, 2.060, 42, 0 6 0
44.88, 2.020, 72, 1 3 4
49.99, 1.825, 38, 1 1 6
58.41, 1.580, 25, 2 0 0
66.58, 1.404, 22, 1 7 4
80.13, 1.198, 35, 1 3 10

Structural model:
```
data_GaSb2Pd4
_symmetry_space_group_name_H-M 'C m c m'
_symmetry_Int_Tables_number 63
_symmetry_space_group_name_Hall '-C 2c 2'
_cell_length_a 3.1601
_cell_length_b 12.3598
_cell_length_c 13.6336
_cell_angle_alpha 90.00
_cell_angle_beta 90.00
_cell_angle_gamma 90.00
loop_
_atom_site_label
_atom_site_fract_x
_atom_site_fract_y
_atom_site_fract_z
Ga1 0.0000 0.1366 0.2500
Sb1 0.0000 0.3469 0.0985
Pd1 0.0000 0.0000 0.0000
Pd2 0.0000 0.3412 0.6052
Pd3 0.0000 0.4781 0.2500
```